[1]
For CaV2S4, the GGA-PBE geometry in the Materials Project gives the theoretical XRD peak list in this record (Cu Kα, 1.54184 Å).
Neutral-atom scattering factors, no anomalous dispersion.

Principal peaks in the range 2θ = 10–80°, by intensity:
Position (°2θ)  intensity  (hkl)
28.70  100  2 1 1
47.88  86  2 2 4
14.52  72  1 0 1
35.10  70  2 2 0
45.95  49  3 2 1
41.68  46  1 0 5

Crystal structure
```
data_CaV2S4
_chemical_formula_sum 'Ca4 V8 S16'
_space_group_name_H-M_alt 'I 41/a m d'
_space_group_IT_number 141
_cell_length_a 7.231
_cell_length_b 7.231
_cell_length_c 11.356
_cell_angle_alpha 90.00
_cell_angle_beta 90.00
_cell_angle_gamma 90.00
loop_
_space_group_symop_operation_xyz
'x,y,z'
'-x,-y,-z'
'-y+1/4,x+3/4,z+1/4'
'y+1/4,-x+3/4,-z+1/4'
'-x+1/2,-y,z+1/2'
'x+1/2,y,-z+1/2'
'y+1/4,-x+1/4,z+3/4'
'-y+1/4,x+1/4,-z+3/4'
'x,-y,-z'
'-x,y,z'
'-y+1/4,-x+1/4,-z+3/4'
'y+1/4,x+1/4,z+3/4'
'-x+1/2,y,-z+1/2'
'x+1/2,-y,z+1/2'
'y+1/4,x+3/4,-z+1/4'
'-y+1/4,-x+3/4,z+1/4'
'x+1/2,y+1/2,z+1/2'
'-x+1/2,-y+1/2,-z+1/2'
'-y+3/4,x+1/4,z+3/4'
'y+3/4,-x+1/4,-z+3/4'
'-x,-y+1/2,z'
'x,y+1/2,-z'
'y+3/4,-x+3/4,z+1/4'
'-y+3/4,x+3/4,-z+1/4'
'x+1/2,-y+1/2,-z+1/2'
'-x+1/2,y+1/2,z+1/2'
'-y+3/4,-x+3/4,-z+1/4'
'y+3/4,x+3/4,z+1/4'
'-x,y+1/2,-z'
'x,-y+1/2,z'
'y+3/4,x+1/4,-z+3/4'
'-y+3/4,-x+1/4,z+3/4'
loop_
_atom_site_label
_atom_site_type_symbol
_atom_site_fract_x
_atom_site_fract_y
_atom_site_fract_z
_atom_site_occupancy
Ca1 Ca 0.000 0.250 0.375 1
V1 V 0.000 0.000 0.000 1
S1 S 0.000 0.022 0.780 1
```

[2]
For CaV2S4, the GGA-PBE geometry in the Materials Project gives the theoretical XRD peak list in this record (Cu Kα, 1.54184 Å).
Neutral-atom scattering factors, no anomalous dispersion.

Principal peaks in the range 2θ = 10–80°, by intensity:
Position (°2θ)  intensity  (hkl)
48.48  100  4 4 0
27.86  88  3 1 1
33.76  78  4 0 0
44.31  71  5 1 1
14.44  54  1 1 1
23.69  31  2 2 0

Crystal structure
abc: 10.621 10.621 10.621
angles: 90.00 90.00 90.00
Space group Fd-3m (No. 227, origin choice 2)
Symmetry-distinct sites (fractional):
Ca: 0.125 0.125 0.125 (multiplicity 8)
V: 0.000 0.000 0.500 (multiplicity 16)
S: 0.018 0.018 0.732 (multiplicity 32)

[3]
For CaY2S4, the GGA-PBE geometry in the Materials Project gives the theoretical XRD peak list in this record (Cu Kα, 1.54184 Å).
Neutral-atom scattering factors, no anomalous dispersion.

Principal peaks in the range 2θ = 10–80°, by intensity:
Position (°2θ)  intensity  (hkl)
33.70  100  3 1 2
24.44  98  2 0 3
31.53  91  3 1 1
26.59  71  2 1 0
41.92  70  1 1 5
46.48  64  0 2 0

Crystal structure
```
data_CaY2S4
_chemical_formula_sum 'Ca4 Y8 S16'
_space_group_name_H-M_alt 'P n m a'
_space_group_IT_number 62
_space_group_name_Hall '-P 2ac 2n'
_cell_length_a 13.034
_cell_length_b 3.909
_cell_length_c 13.179
_cell_angle_alpha 90.00
_cell_angle_beta 90.00
_cell_angle_gamma 90.00
loop_
_atom_site_label
_atom_site_type_symbol
_atom_site_fract_x
_atom_site_fract_y
_atom_site_fract_z
_atom_site_occupancy
Ca1 Ca 0.130 0.250 0.081 1
Y1 Y 0.108 0.750 0.417 1
Y2 Y 0.146 0.750 0.797 1
S1 S 0.029 0.250 0.882 1
S2 S 0.033 0.750 0.617 1
S3 S 0.218 0.750 0.237 1
S4 S 0.244 0.250 0.475 1
```

What did the first record say?
For CaV2S4, the GGA-PBE geometry in the Materials Project gives the theoretical XRD peak list in this record (Cu Kα, 1.54184 Å).
Neutral-atom scattering factors, no anomalous dispersion.

Principal peaks in the range 2θ = 10–80°, by intensity:
Position (°2θ)  intensity  (hkl)
28.70  100  2 1 1
47.88  86  2 2 4
14.52  72  1 0 1
35.10  70  2 2 0
45.95  49  3 2 1
41.68  46  1 0 5

Crystal structure
```
data_CaV2S4
_chemical_formula_sum 'Ca4 V8 S16'
_space_group_name_H-M_alt 'I 41/a m d'
_space_group_IT_number 141
_cell_length_a 7.231
_cell_length_b 7.231
_cell_length_c 11.356
_cell_angle_alpha 90.00
_cell_angle_beta 90.00
_cell_angle_gamma 90.00
loop_
_space_group_symop_operation_xyz
'x,y,z'
'-x,-y,-z'
'-y+1/4,x+3/4,z+1/4'
'y+1/4,-x+3/4,-z+1/4'
'-x+1/2,-y,z+1/2'
'x+1/2,y,-z+1/2'
'y+1/4,-x+1/4,z+3/4'
'-y+1/4,x+1/4,-z+3/4'
'x,-y,-z'
'-x,y,z'
'-y+1/4,-x+1/4,-z+3/4'
'y+1/4,x+1/4,z+3/4'
'-x+1/2,y,-z+1/2'
'x+1/2,-y,z+1/2'
'y+1/4,x+3/4,-z+1/4'
'-y+1/4,-x+3/4,z+1/4'
'x+1/2,y+1/2,z+1/2'
'-x+1/2,-y+1/2,-z+1/2'
'-y+3/4,x+1/4,z+3/4'
'y+3/4,-x+1/4,-z+3/4'
'-x,-y+1/2,z'
'x,y+1/2,-z'
'y+3/4,-x+3/4,z+1/4'
'-y+3/4,x+3/4,-z+1/4'
'x+1/2,-y+1/2,-z+1/2'
'-x+1/2,y+1/2,z+1/2'
'-y+3/4,-x+3/4,-z+1/4'
'y+3/4,x+3/4,z+1/4'
'-x,y+1/2,-z'
'x,-y+1/2,z'
'y+3/4,x+1/4,-z+3/4'
'-y+3/4,-x+1/4,z+3/4'
loop_
_atom_site_label
_atom_site_type_symbol
_atom_site_fract_x
_atom_site_fract_y
_atom_site_fract_z
_atom_site_occupancy
Ca1 Ca 0.000 0.250 0.375 1
V1 V 0.000 0.000 0.000 1
S1 S 0.000 0.022 0.780 1
```